(1)
Calculated powder diffraction line list of CoIr2Rh5 for λ = 1.5418 Å (Cu Kα), from a structure optimized by DFT (PBE).
No peak broadening, texture or thermal motion is included.

Peak list (8 most intense, 5° ≤ 2θ ≤ 70°, low angle first)
(hkl)  2θ (°)  d [Å]  Rel. int.
0 0 2  11.62  7.614  21
1 1 2  35.18  2.551  8
1 1 4  40.90  2.207  100
2 0 0  47.49  1.915  32
0 0 8  47.78  1.904  16
2 0 2  49.06  1.857  3
2 2 0  69.42  1.354  10
2 0 8  69.65  1.350  20

Crystal structure
Cell: 3.8292 3.8292 15.2288 Å, 90.00 90.00 90.00°
Space group I4/mmm (No. 139)
Asymmetric unit:
Co 0.0000 0.0000 0.0000
Ir 0.0000 0.0000 0.2500
Rh 0.0000 0.0000 0.5000
Rh 0.0000 0.5000 0.1237

(2)
Calculated powder diffraction line list of RbNaCd2Ag for λ = 1.5418 Å (Cu Kα), from a structure optimized by DFT (PBE).
No peak broadening, texture or thermal motion is included.

Peak list (8 most intense, 5° ≤ 2θ ≤ 70°, low angle first)
(hkl)  2θ (°)  d [Å]  Rel. int.
0 1 1  18.63  4.763  34
1 1 0  25.41  3.506  30
0 1 3  27.20  3.279  40
1 0 3  27.99  3.187  36
1 1 2  29.05  3.074  100
0 2 0  34.97  2.566  44
2 0 0  37.47  2.400  36
1 1 4  38.10  2.362  47

Crystal structure
Cell: 4.7998 5.1322 12.7872 Å, 90.00 90.00 90.00°
Space group Imm2 (No. 44)
Asymmetric unit:
Rb 0.0000 0.0000 0.0000
Na 0.0000 0.5000 0.7378
Cd 0.0000 0.0000 0.3930
Cd 0.0000 0.5000 0.2482
Ag 0.0000 0.0000 0.6141